No. 1
Calculated powder XRD pattern
Compound: Th3As2S
Radiation: Cu Kα (λ = 1.5418 Å)
Structure: DFT lattice parameters and positions (PBE)
Neutral-atom scattering factors, no anomalous dispersion.

Peak list (10 most intense, 15 to 90 degrees two-theta, by intensity)
two_theta	I_rel
30.2	100
43.2	76
30.1	51
26.0	45
26.1	44
51.1	31
71.0	27
53.4	21
79.0	20
53.8	20

Structural model:
Unit cell a=4.2026 b=5.9366 c=12.4851 alpha=90.00 beta=90.00 gamma=90.00
Element x y z (fractional)
Th 0.0000 0.0000 0.0000
Th 0.0000 0.0000 0.3392
Th 0.0000 0.0000 0.6608
Th 0.5000 0.5000 0.1608
Th 0.5000 0.5000 0.5000
Th 0.5000 0.5000 0.8392
As 0.0000 0.5000 0.3302
As 0.0000 0.5000 0.6698
As 0.5000 0.0000 0.1698
As 0.5000 0.0000 0.8302
S 0.0000 0.5000 0.0000
S 0.5000 0.0000 0.5000



No. 2
Calculated powder XRD pattern
Compound: TlAsS4
Radiation: Cu Kα (λ = 1.5418 Å)
Structure: DFT lattice parameters and positions (PBE)
Neutral-atom scattering factors, no anomalous dispersion.

Peak list (10 most intense, 15 to 90 degrees two-theta, by intensity)
two_theta	I_rel
21.7	100
31.6	84
27.6	59
28.8	55
22.6	54
24.2	40
21.3	39
33.6	34
35.3	27
32.9	27

Structural model:
Unit cell a=6.5341 b=7.2054 c=9.0948 alpha=85.50 beta=69.36 gamma=67.73
Element x y z (fractional)
Tl 0.1563 0.0185 0.1784
Tl 0.8437 0.9815 0.8216
As 0.2938 0.4862 0.9166
As 0.7062 0.5138 0.0834
S 0.0439 0.2818 0.9170
S 0.3446 0.2360 0.4998
S 0.3454 0.8768 0.4908
S 0.4622 0.2871 0.0812
S 0.5378 0.7129 0.9188
S 0.6546 0.1232 0.5092
S 0.6554 0.7640 0.5002
S 0.9561 0.7182 0.0830



No. 3
Calculated powder XRD pattern
Compound: Tl4As2S5
Radiation: Cu Kα (λ = 1.5418 Å)
Structure: DFT lattice parameters and positions (PBE)
Neutral-atom scattering factors, no anomalous dispersion.

Peak list (10 most intense, 15 to 90 degrees two-theta, by intensity)
two_theta	I_rel
28.6	100
24.7	71
27.6	67
33.8	62
22.7	47
46.0	31
16.7	25
26.6	24
16.4	24
33.2	23

Structural model:
Unit cell a=6.7590 b=6.7590 c=8.6259 alpha=105.86 beta=105.86 gamma=64.34
Element x y z (fractional)
Tl 0.0000 0.0000 0.0000
Tl 0.0248 0.0248 0.5554
Tl 0.3989 0.3989 0.8714
Tl 0.7647 0.7647 0.1801
As 0.4665 0.4665 0.2759
As 0.6756 0.6756 0.6774
S 0.3480 0.8372 0.2902
S 0.4430 0.9315 0.8470
S 0.4621 0.4621 0.5453
S 0.8372 0.3480 0.2902
S 0.9315 0.4430 0.8470



No. 4
Calculated powder XRD pattern
Compound: Tl3AsS3
Radiation: Cu Kα (λ = 1.5418 Å)
Structure: DFT lattice parameters and positions (PBE)
Neutral-atom scattering factors, no anomalous dispersion.

Peak list (10 most intense, 15 to 90 degrees two-theta, by intensity)
two_theta	I_rel
26.2	100
30.6	40
27.2	37
24.0	30
32.8	27
54.0	21
31.0	21
35.7	21
30.4	18
51.0	17

Structural model:
Unit cell a=5.7750 b=12.8144 c=22.2308 alpha=90.00 beta=90.00 gamma=90.00
Element x y z (fractional)
Tl 0.0451 0.0760 0.1916
Tl 0.0451 0.4240 0.6916
Tl 0.0685 0.6625 0.4786
Tl 0.0685 0.8375 0.9786
Tl 0.0817 0.2107 0.8165
Tl 0.0817 0.2893 0.3165
Tl 0.4183 0.7107 0.8165
Tl 0.4183 0.7893 0.3165
Tl 0.4315 0.1625 0.4786
Tl 0.4315 0.3375 0.9786
Tl 0.4549 0.5760 0.1916
Tl 0.4549 0.9240 0.6916
Tl 0.5451 0.0760 0.3084
Tl 0.5451 0.4240 0.8084
Tl 0.5685 0.6625 0.0214
Tl 0.5685 0.8375 0.5214
Tl 0.5817 0.2107 0.6835
Tl 0.5817 0.2893 0.1835
Tl 0.9183 0.7107 0.6835
Tl 0.9183 0.7893 0.1835
Tl 0.9315 0.1625 0.0214
Tl 0.9315 0.3375 0.5214
Tl 0.9549 0.5760 0.3084
Tl 0.9549 0.9240 0.8084
As 0.0438 0.0413 0.5878
As 0.0438 0.4587 0.0878
As 0.4562 0.5413 0.5878
As 0.4562 0.9587 0.0878
As 0.5438 0.0413 0.9122
As 0.5438 0.4587 0.4122
As 0.9562 0.5413 0.9122
As 0.9562 0.9587 0.4122
S 0.1122 0.0941 0.6841
S 0.1122 0.4059 0.1841
S 0.1130 0.6330 0.0918
S 0.1130 0.8670 0.5918
S 0.1476 0.0472 0.9141
S 0.1476 0.4528 0.4141
S 0.3524 0.5472 0.9141
S 0.3524 0.9528 0.4141
S 0.3870 0.1330 0.0918
S 0.3870 0.3670 0.5918
S 0.3878 0.5941 0.6841
S 0.3878 0.9059 0.1841
S 0.6122 0.0941 0.8159
S 0.6122 0.4059 0.3159
S 0.6130 0.6330 0.4082
S 0.6130 0.8670 0.9082
S 0.6476 0.0472 0.5859
S 0.6476 0.4528 0.0859
S 0.8524 0.5472 0.5859
S 0.8524 0.9528 0.0859
S 0.8870 0.1330 0.4082
S 0.8870 0.3670 0.9082
S 0.8878 0.5941 0.8159
S 0.8878 0.9059 0.3159